# 1
Computed powder diffractogram of Na3Pt for Cu Ka, from a cell relaxed with PBE.
No peak broadening, texture or thermal motion is included.

Atomic structure:
a b c (Å): 6.3807 6.3807 5.1590
angles (deg): 90.00 90.00 120.00
Element x y z (fractional)
Na (0.1782, 0.3565, 0.2500)
Na (0.1782, 0.8218, 0.2500)
Na (0.3565, 0.1782, 0.7500)
Na (0.6435, 0.8218, 0.2500)
Na (0.8218, 0.1782, 0.7500)
Na (0.8218, 0.6435, 0.7500)
Pt (0.3333, 0.6667, 0.7500)
Pt (0.6667, 0.3333, 0.2500)

Largest 6 diffraction maxima, sorted by position, 10 to 90 degrees two-theta:
2θ = 16.0°, 5.526 Å, I = 50; 2θ = 23.6°, 3.771 Å, I = 100; 2θ = 28.0°, 3.190 Å, I = 47; 2θ = 36.9°, 2.436 Å, I = 84; 2θ = 45.2°, 2.006 Å, I = 26; 2θ = 46.9°, 1.936 Å, I = 39

***

# 2
Computed powder diffractogram of Li2MgBr4 for Cu Ka, from a cell relaxed with PBE.
No peak broadening, texture or thermal motion is included.

Atomic structure:
a b c (Å): 7.7402 7.7402 7.7402
angles (deg): 118.24 118.07 93.23
Element x y z (fractional)
Li (0.0000, 0.0000, 0.0000)
Li (0.5000, 0.0000, 0.0000)
Li (0.5000, 0.0000, 0.5000)
Li (0.5000, 0.5000, 0.5000)
Mg (0.0000, 0.5000, 0.5000)
Mg (0.5000, 0.5000, 0.0000)
Br (0.2461, 0.2541, 0.5080)
Br (0.2461, 0.7381, 0.9920)
Br (0.2604, 0.7462, 0.5143)
Br (0.2681, 0.2538, 0.0143)
Br (0.7319, 0.7462, 0.9857)
Br (0.7396, 0.2538, 0.4857)
Br (0.7539, 0.2619, 0.0080)
Br (0.7539, 0.7459, 0.4920)

Largest 6 diffraction maxima, sorted by position, 10 to 90 degrees two-theta:
2θ = 28.0°, 3.185 Å, I = 100; 2θ = 31.8°, 2.813 Å, I = 55; 2θ = 33.7°, 2.658 Å, I = 24; 2θ = 47.0°, 1.932 Å, I = 36; 2θ = 54.4°, 1.687 Å, I = 29; 2θ = 56.9°, 1.619 Å, I = 13

***

# 3
Computed powder diffractogram of Ho4B6O15 for Cu Ka, from a cell relaxed with PBE.
No peak broadening, texture or thermal motion is included.

Atomic structure:
a b c (Å): 6.2554 6.2554 18.8897
angles (deg): 96.02 96.02 41.17
Element x y z (fractional)
Ho (0.0646, 0.6677, 0.9009)
Ho (0.0729, 0.6528, 0.6971)
Ho (0.3323, 0.9354, 0.5991)
Ho (0.3472, 0.9271, 0.8029)
Ho (0.6528, 0.0729, 0.1971)
Ho (0.6677, 0.0646, 0.4009)
Ho (0.9271, 0.3472, 0.3029)
Ho (0.9354, 0.3323, 0.0991)
B (0.0218, 0.6395, 0.5258)
B (0.1967, 0.6092, 0.0875)
B (0.2051, 0.6592, 0.3057)
B (0.3408, 0.7949, 0.1943)
B (0.3605, 0.9782, 0.9742)
B (0.3908, 0.8033, 0.4125)
B (0.6092, 0.1967, 0.5875)
B (0.6395, 0.0218, 0.0258)
B (0.6592, 0.2051, 0.8057)
B (0.7949, 0.3408, 0.6943)
B (0.8033, 0.3908, 0.9125)
B (0.9782, 0.3605, 0.4742)
O (0.0074, 0.2471, 0.9790)
O (0.0487, 0.3144, 0.7035)
O (0.0768, 0.5616, 0.1388)
O (0.0885, 0.4945, 0.4507)
O (0.1333, 0.8667, 0.2500)
O (0.1620, 0.8098, 0.3785)
O (0.1902, 0.8380, 0.1215)
O (0.2471, 0.0074, 0.4790)
O (0.2882, 0.5412, 0.5706)
O (0.3144, 0.0487, 0.2035)
O (0.3352, 0.5334, 0.8032)
O (0.4384, 0.9232, 0.3612)
O (0.4588, 0.7118, 0.9294)
O (0.4666, 0.6648, 0.6968)
O (0.4945, 0.0885, 0.9507)
O (0.5055, 0.9115, 0.0493)
O (0.5334, 0.3352, 0.3032)
O (0.5412, 0.2882, 0.0706)
O (0.5616, 0.0768, 0.6388)
O (0.6648, 0.4666, 0.1968)
O (0.6856, 0.9513, 0.7965)
O (0.7118, 0.4588, 0.4294)
O (0.7529, 0.9926, 0.5210)
O (0.8098, 0.1620, 0.8785)
O (0.8380, 0.1902, 0.6215)
O (0.8667, 0.1333, 0.7500)
O (0.9115, 0.5055, 0.5493)
O (0.9232, 0.4384, 0.8612)
O (0.9513, 0.6856, 0.2965)
O (0.9926, 0.7529, 0.0210)

Largest 6 diffraction maxima, sorted by position, 10 to 90 degrees two-theta:
2θ = 22.3°, 3.986 Å, I = 55; 2θ = 23.0°, 3.871 Å, I = 33; 2θ = 25.7°, 3.468 Å, I = 27; 2θ = 30.7°, 2.911 Å, I = 100; 2θ = 31.6°, 2.830 Å, I = 49; 2θ = 32.9°, 2.721 Å, I = 49

***

# 4
Computed powder diffractogram of Mg6SiBi for Cu Ka, from a cell relaxed with PBE.
No peak broadening, texture or thermal motion is included.

Atomic structure:
a b c (Å): 5.1989 6.4120 10.9402
angles (deg): 90.00 90.00 90.00
Element x y z (fractional)
Mg (0.0000, 0.0000, 0.0000)
Mg (0.0000, 0.0000, 0.4940)
Mg (0.0000, 0.2398, 0.2467)
Mg (0.0000, 0.2602, 0.7467)
Mg (0.0000, 0.5000, 0.5000)
Mg (0.0000, 0.5000, 0.9940)
Mg (0.0000, 0.7398, 0.7467)
Mg (0.0000, 0.7602, 0.2467)
Mg (0.5000, 0.2501, 0.4138)
Mg (0.5000, 0.2499, 0.9138)
Mg (0.5000, 0.7499, 0.4138)
Mg (0.5000, 0.7501, 0.9138)
Si (0.5000, 0.0000, 0.1622)
Si (0.5000, 0.5000, 0.6622)
Bi (0.5000, 0.0000, 0.6631)
Bi (0.5000, 0.5000, 0.1631)

Largest 6 diffraction maxima, sorted by position, 10 to 90 degrees two-theta:
2θ = 16.0°, 5.532 Å, I = 88; 2θ = 16.2°, 5.470 Å, I = 50; 2θ = 17.1°, 5.199 Å, I = 45; 2θ = 23.5°, 3.788 Å, I = 82; 2θ = 36.8°, 2.442 Å, I = 100; 2θ = 37.1°, 2.421 Å, I = 49

***

# 5
Computed powder diffractogram of TbY3Ni8B8C4 for Cu Ka, from a cell relaxed with PBE.
No peak broadening, texture or thermal motion is included.

Atomic structure:
a b c (Å): 3.5336 3.5336 20.8465
angles (deg): 90.00 90.00 90.00
Element x y z (fractional)
Tb (0.0000, 0.0000, 0.0000)
Y (0.0000, 0.0000, 0.5000)
Y (0.5000, 0.5000, 0.2500)
Y (0.5000, 0.5000, 0.7500)
Ni (0.0000, 0.5000, 0.1250)
Ni (0.0000, 0.5000, 0.3750)
Ni (0.0000, 0.5000, 0.6250)
Ni (0.0000, 0.5000, 0.8750)
Ni (0.5000, 0.0000, 0.1250)
Ni (0.5000, 0.0000, 0.3750)
Ni (0.5000, 0.0000, 0.6250)
Ni (0.5000, 0.0000, 0.8750)
B (0.0000, 0.0000, 0.1786)
B (0.0000, 0.0000, 0.3213)
B (0.0000, 0.0000, 0.6787)
B (0.0000, 0.0000, 0.8214)
B (0.5000, 0.5000, 0.0714)
B (0.5000, 0.5000, 0.4286)
B (0.5000, 0.5000, 0.5714)
B (0.5000, 0.5000, 0.9286)
C (0.0000, 0.0000, 0.2499)
C (0.0000, 0.0000, 0.7501)
C (0.5000, 0.5000, 0.0000)
C (0.5000, 0.5000, 0.5000)

Largest 6 diffraction maxima, sorted by position, 10 to 90 degrees two-theta:
2θ = 26.6°, 3.347 Å, I = 36; 2θ = 34.4°, 2.606 Å, I = 35; 2θ = 36.3°, 2.478 Å, I = 28; 2θ = 40.0°, 2.253 Å, I = 100; 2θ = 51.7°, 1.767 Å, I = 26; 2θ = 65.4°, 1.426 Å, I = 24

***

# 6
Computed powder diffractogram of LaMgI5 for Cu Ka, from a cell relaxed with PBE.
No peak broadening, texture or thermal motion is included.

Atomic structure:
a b c (Å): 7.8581 15.3032 12.3648
angles (deg): 90.00 112.26 90.00
Element x y z (fractional)
La (0.0336, 0.2459, 0.3752)
La (0.0336, 0.2541, 0.8752)
La (0.9664, 0.7459, 0.1248)
La (0.9664, 0.7541, 0.6248)
Mg (0.4397, 0.0491, 0.2267)
Mg (0.4397, 0.4509, 0.7267)
Mg (0.5603, 0.5491, 0.2733)
Mg (0.5603, 0.9509, 0.7733)
I (0.0662, 0.2026, 0.6341)
I (0.0662, 0.2974, 0.1341)
I (0.1792, 0.5652, 0.2047)
I (0.1792, 0.9348, 0.7047)
I (0.3102, 0.6245, 0.6974)
I (0.3102, 0.8755, 0.1974)
I (0.3263, 0.1066, 0.9989)
I (0.3263, 0.3934, 0.4989)
I (0.3873, 0.1250, 0.4131)
I (0.3873, 0.3750, 0.9131)
I (0.6127, 0.6250, 0.0869)
I (0.6127, 0.8750, 0.5869)
I (0.6737, 0.6066, 0.5011)
I (0.6737, 0.8934, 0.0011)
I (0.6898, 0.1245, 0.8026)
I (0.6898, 0.3755, 0.3026)
I (0.8208, 0.0652, 0.2953)
I (0.8208, 0.4348, 0.7953)
I (0.9338, 0.7026, 0.8659)
I (0.9338, 0.7974, 0.3659)

Largest 6 diffraction maxima, sorted by position, 10 to 90 degrees two-theta:
2θ = 16.8°, 5.271 Å, I = 97; 2θ = 23.4°, 3.799 Å, I = 100; 2θ = 24.8°, 3.594 Å, I = 86; 2θ = 26.3°, 3.386 Å, I = 84; 2θ = 28.9°, 3.091 Å, I = 80; 2θ = 29.1°, 3.071 Å, I = 86

***

# 7
Computed powder diffractogram of CeSi2Au2 for Cu Ka, from a cell relaxed with PBE.
No peak broadening, texture or thermal motion is included.

Atomic structure:
a b c (Å): 4.3365 4.3365 10.2310
angles (deg): 90.00 90.00 90.00
Element x y z (fractional)
Ce (0.0000, 0.0000, 0.0000)
Ce (0.5000, 0.5000, 0.5000)
Si (0.0000, 0.0000, 0.3866)
Si (0.0000, 0.0000, 0.6133)
Si (0.5000, 0.5000, 0.1134)
Si (0.5000, 0.5000, 0.8866)
Au (0.0000, 0.5000, 0.2500)
Au (0.0000, 0.5000, 0.7500)
Au (0.5000, 0.0000, 0.2500)
Au (0.5000, 0.0000, 0.7500)

Largest 6 diffraction maxima, sorted by position, 10 to 90 degrees two-theta:
2θ = 17.3°, 5.116 Å, I = 25; 2θ = 34.1°, 2.630 Å, I = 100; 2θ = 35.1°, 2.558 Å, I = 18; 2θ = 41.7°, 2.168 Å, I = 34; 2θ = 55.6°, 1.654 Å, I = 20; 2θ = 71.2°, 1.325 Å, I = 24

***

# 8
Computed powder diffractogram of LiAgF2 for Cu Ka, from a cell relaxed with PBE.
No peak broadening, texture or thermal motion is included.

Atomic structure:
a b c (Å): 5.6989 7.2175 5.5788
angles (deg): 90.00 90.00 90.00
Element x y z (fractional)
Li (0.0726, 0.1271, 0.0000)
Li (0.4274, 0.6271, 0.5000)
Li (0.5726, 0.3729, 0.0000)
Li (0.9274, 0.8729, 0.5000)
Ag (0.0712, 0.6344, 0.9951)
Ag (0.4288, 0.1344, 0.4951)
Ag (0.5712, 0.8656, 0.9951)
Ag (0.9288, 0.3656, 0.4951)
F (0.0390, 0.0810, 0.3311)
F (0.1044, 0.6581, 0.4250)
F (0.3956, 0.1581, 0.9250)
F (0.4610, 0.5810, 0.8311)
F (0.5390, 0.4190, 0.3311)
F (0.6044, 0.8419, 0.4250)
F (0.8956, 0.3419, 0.9250)
F (0.9610, 0.9190, 0.8311)

Largest 6 diffraction maxima, sorted by position, 10 to 90 degrees two-theta:
2θ = 19.9°, 4.473 Å, I = 65; 2θ = 20.1°, 4.414 Å, I = 100; 2θ = 29.3°, 3.049 Å, I = 36; 2θ = 32.1°, 2.789 Å, I = 51; 2θ = 33.5°, 2.675 Å, I = 85; 2θ = 38.0°, 2.367 Å, I = 49